Starting from a DFT-relaxed cell (GGA-PBE, Alexandria), the X-ray powder pattern of TaNbIrOs was computed for Cu Ka.

Atomic structure:
a b c (Å): 3.758 4.139 4.172
angles (deg): 90.00 90.00 90.00
Fractional coordinates of all 4 atoms:
1 Ta 0.000 0.000 0.000
2 Nb 0.000 0.500 0.500
3 Ir 0.500 0.500 0.000
4 Os 0.500 0.000 0.500

Largest 8 diffraction maxima, most intense first, 10 to 90 degrees two-theta:
2θ (°)  I (rel.)  h k l
38.9  1000  1 1 1
43.4  184  0 0 2
43.7  180  0 2 0
76.6  140  1 1 3
77.1  137  1 3 1
48.4  134  2 0 0
63.3  121  0 2 2
83.5  113  2 2 2